The following is a calculated powder diffractogram of CrP2O6. It was derived from a DFT-relaxed cell (PBE+U, the Materials Project), using Cu Ka.

Peak list (12 most intense, 15° ≤ 2θ ≤ 90°, by angle)
hkl 1 1 2, d 4.579, rel. 39; hkl 0 0 4, d 4.119, rel. 23; hkl 1 1 -3, d 4.041, rel. 21; hkl 2 0 0, d 4.015, rel. 20; hkl 0 2 1, d 3.901, rel. 29; hkl 1 1 3, d 3.861, rel. 17; hkl 2 0 -2, d 3.704, rel. 77; hkl 0 2 2, d 3.609, rel. 100; hkl 2 0 2, d 3.521, rel. 33; hkl 1 1 4, d 3.265, rel. 28; hkl 1 1 5, d 2.795, rel. 33; hkl 1 3 3, d 2.288, rel. 17

Atomic structure:
a b c (Å): 8.0471 8.0308 16.5111
angles (deg): 90.00 93.68 90.00
Space group Cc (No. 9)
Asymmetric unit:
Cr  0.0000  0.1059  0.0000 [4 per cell]
Cr  0.4120  0.3068  0.2915 [4 per cell]
P  0.0739  0.2407  0.3954 [4 per cell]
P  0.0854  0.4786  0.5330 [4 per cell]
P  0.3172  0.0193  0.1472 [4 per cell]
P  0.3252  0.2793  0.7562 [4 per cell]
O  0.0059  0.3376  0.4713 [4 per cell]
O  0.0201  0.3562  0.0031 [4 per cell]
O  0.0395  0.0582  0.4075 [4 per cell]
O  0.1546  0.2499  0.7847 [4 per cell]
O  0.1876  0.0141  0.0785 [4 per cell]
O  0.2496  0.2964  0.3829 [4 per cell]
O  0.2677  0.4537  0.5471 [4 per cell]
O  0.2911  0.1292  0.2183 [4 per cell]
O  0.3525  0.1708  0.6763 [4 per cell]
O  0.3787  0.4532  0.7408 [4 per cell]
O  0.4575  0.1893  0.8210 [4 per cell]
O  0.4966  0.0704  0.1146 [4 per cell]

The following is a calculated powder diffractogram of Cr3P4O14. It was derived from a DFT-relaxed cell (PBE+U, the Materials Project), using Cu Ka.

Peak list (12 most intense, 15° ≤ 2θ ≤ 90°, by angle)
hkl 1 -1 0, d 4.050, rel. 22; hkl 1 1 1, d 3.990, rel. 25; hkl 1 -1 1, d 3.864, rel. 23; hkl 0 2 2, d 3.416, rel. 20; hkl 1 0 -3, d 3.195, rel. 23; hkl 1 2 1, d 3.052, rel. 93; hkl 0 1 4, d 2.999, rel. 23; hkl 1 1 -3, d 2.986, rel. 56; hkl 1 -2 1, d 2.942, rel. 100; hkl 0 2 4, d 2.522, rel. 24; hkl 1 0 5, d 2.276, rel. 20; hkl 3 2 -1, d 1.493, rel. 21

Atomic structure:
a b c (Å): 4.8004 8.0237 12.8968
angles (deg): 89.57 89.75 87.85
Space group P-1 (No. 2)
Asymmetric unit:
Cr  0.0000  0.0000  0.0000 [1 per cell]
Cr  0.2149  0.9896  0.7624 [2 per cell]
Cr  0.2658  0.4910  0.7323 [2 per cell]
Cr  0.5000  0.5000  0.5000 [1 per cell]
P  0.0055  0.7526  0.5613 [2 per cell]
P  0.2585  0.2619  0.1559 [2 per cell]
P  0.2666  0.7939  0.3495 [2 per cell]
P  0.4719  0.2495  0.9376 [2 per cell]
O  0.0142  0.7969  0.2766 [2 per cell]
O  0.0255  0.8755  0.6485 [2 per cell]
O  0.0906  0.3996  0.2064 [2 per cell]
O  0.0917  0.0974  0.1404 [2 per cell]
O  0.1557  0.8391  0.4645 [2 per cell]
O  0.1839  0.5891  0.5849 [2 per cell]
O  0.2304  0.7981  0.0333 [2 per cell]
O  0.2886  0.2930  0.4662 [2 per cell]
O  0.3086  0.0883  0.9077 [2 per cell]
O  0.3125  0.3219  0.0383 [2 per cell]
O  0.3957  0.6122  0.3619 [2 per cell]
O  0.4407  0.3819  0.8564 [2 per cell]
O  0.4600  0.7795  0.7924 [2 per cell]
O  0.4821  0.9186  0.3216 [2 per cell]

The following is a calculated powder diffractogram of CrPO5. It was derived from a DFT-relaxed cell (PBE+U, the Materials Project), using Cu Ka.

Peak list (12 most intense, 15° ≤ 2θ ≤ 90°, by angle)
hkl 1 1 0, d 4.868, rel. 50; hkl 1 1 -1, d 4.676, rel. 72; hkl 1 1 1, d 3.502, rel. 100; hkl 0 2 1, d 3.329, rel. 33; hkl 1 1 -2, d 3.294, rel. 22; hkl 2 0 -2, d 2.960, rel. 38; hkl 0 2 2, d 2.544, rel. 46; hkl 2 2 1, d 2.103, rel. 12; hkl 1 3 -2, d 2.086, rel. 14; hkl 3 1 -3, d 1.910, rel. 13; hkl 2 2 -4, d 1.647, rel. 13; hkl 3 3 -3, d 1.559, rel. 15

Atomic structure:
a b c (Å): 6.8580 7.6256 7.4059
angles (deg): 90.00 112.75 90.00
Space group Cc (No. 9)
Asymmetric unit:
Cr  0.0000  0.2255  0.0000 [4 per cell]
P  0.2961  0.0747  0.7939 [4 per cell]
O  0.0994  0.0397  0.1844 [4 per cell]
O  0.2423  0.1904  0.9403 [4 per cell]
O  0.3181  0.3607  0.3190 [4 per cell]
O  0.3570  0.1984  0.6607 [4 per cell]
O  0.4912  0.0423  0.4081 [4 per cell]